[1]
This entry pairs a crystal structure of KAsF6 with its computed powder diffraction line list. Radiation: a wavelength of 1.5418 Å. Structure: a GGA-PBE-relaxed structure.

Structural model:
```
data_KAsF6
_cell_length_a 5.036
_cell_length_b 5.036
_cell_length_c 5.036
_cell_angle_alpha 97.98
_cell_angle_beta 97.98
_cell_angle_gamma 97.98
_space_group_name_H-M_alt 'P 1'
_space_group_IT_number 1
_space_group_name_Hall 'P 1'
loop_
_atom_site_label
_atom_site_type_symbol
_atom_site_fract_x
_atom_site_fract_y
_atom_site_fract_z
K1 K 0.000 0.000 0.000
As1 As 0.500 0.500 0.500
F1 F 0.250 0.250 0.578
F2 F 0.250 0.578 0.250
F3 F 0.422 0.750 0.750
F4 F 0.578 0.250 0.250
F5 F 0.750 0.422 0.750
F6 F 0.750 0.750 0.422
```

The 10 most intense peaks (10 to 90 degrees two-theta), by intensity:
23.4 deg, intensity 100
43.8 deg, intensity 74
18.0 deg, intensity 66
27.6 deg, intensity 60
62.5 deg, intensity 23
29.7 deg, intensity 19
61.7 deg, intensity 13
47.9 deg, intensity 12
56.1 deg, intensity 11
75.0 deg, intensity 10

---

[2]
This entry pairs a crystal structure of HgP2PdO7 with its computed powder diffraction line list. Radiation: a wavelength of 1.5418 Å. Structure: a GGA-PBE-relaxed structure.

Structural model:
```
data_HgP2PdO7
_cell_length_a 7.629
_cell_length_b 7.629
_cell_length_c 8.965
_cell_angle_alpha 100.28
_cell_angle_beta 100.28
_cell_angle_gamma 38.05
_space_group_name_H-M_alt 'P 1'
_space_group_IT_number 1
_space_group_name_Hall 'P 1'
loop_
_atom_site_label
_atom_site_type_symbol
_atom_site_fract_x
_atom_site_fract_y
_atom_site_fract_z
Hg1 Hg 0.000 0.500 0.000
Hg2 Hg 0.500 0.000 0.500
P1 P 0.033 0.766 0.726
P2 P 0.234 0.967 0.774
P3 P 0.766 0.033 0.226
P4 P 0.967 0.234 0.274
Pd1 Pd 0.500 0.500 0.000
Pd2 Pd 0.500 0.500 0.500
O1 O 0.024 0.976 0.250
O2 O 0.097 0.260 0.795
O3 O 0.169 0.623 0.878
O4 O 0.214 0.572 0.588
O5 O 0.260 0.097 0.295
O6 O 0.377 0.831 0.622
O7 O 0.428 0.786 0.912
O8 O 0.572 0.214 0.088
O9 O 0.623 0.169 0.378
O10 O 0.740 0.903 0.705
O11 O 0.786 0.428 0.412
O12 O 0.831 0.377 0.122
O13 O 0.903 0.740 0.205
O14 O 0.976 0.024 0.750
```

The 10 most intense peaks (10 to 90 degrees two-theta), by intensity:
22.0 deg, intensity 100
29.2 deg, intensity 81
20.2 deg, intensity 41
36.2 deg, intensity 37
26.9 deg, intensity 34
26.6 deg, intensity 34
38.4 deg, intensity 32
20.9 deg, intensity 30
35.4 deg, intensity 26
44.9 deg, intensity 23